Calculated powder diffractogram of CoPtSO for Cu Kα (λ = 1.5418 Å), from a crystal structure in OQMD, relaxed with GGA+U.
Neutral-atom scattering factors, no anomalous dispersion.

Cell: 5.8856 5.9399 7.1411 Å, 90.00 90.00 90.00°
Sites, in units of the cell vectors:
Co 0.2067 0.1293 0.0012
Co 0.2933 0.8707 0.5012
Co 0.7067 0.3707 0.9988
Co 0.7933 0.6293 0.4988
Pt 0.2360 0.4668 0.7430
Pt 0.2640 0.5332 0.2430
Pt 0.7360 0.0332 0.2570
Pt 0.7640 0.9668 0.7570
S 0.0904 0.8821 0.2315
S 0.4096 0.1179 0.7315
S 0.5904 0.6179 0.7685
S 0.9096 0.3821 0.2685
O 0.0408 0.7513 0.6672
O 0.4592 0.2487 0.1672
O 0.5408 0.7487 0.3328
O 0.9592 0.2513 0.8328

Main lines, in order of falling intensity (2θ from 5° to 70°):
two_theta  d/Å  I (rel.)  h k l
32.99  2.715  100  1 1 2
21.25  4.181  54  1 1 0
24.94  3.571  32  0 0 2
30.37  2.943  30  2 0 0
55.65  1.652  26  3 1 2
50.60  1.804  22  2 2 2